Diffraction record for Ag2F3. The powder X-ray diffraction pattern is computed, not measured: it uses a crystal structure in OQMD, relaxed with GGA-PBE and Cu Kα.
Neutral-atom scattering factors, no anomalous dispersion.

Peak list (12 most intense, 2θ from 10° to 90°, sorted by position)
21.11 deg, rel. 437
28.99 deg, rel. 914
31.04 deg, rel. 1000
42.99 deg, rel. 359
46.98 deg, rel. 749
53.96 deg, rel. 334
55.22 deg, rel. 360
62.13 deg, rel. 172
64.71 deg, rel. 119
72.43 deg, rel. 128
75.36 deg, rel. 164
79.57 deg, rel. 155

```
Ag2F3
1.0
2.8811 1.6634 5.2190
-2.8811 1.6634 5.2190
0.0000 -3.3268 5.2190
Ag F
4 6
direct
0.1514 0.1514 0.1514
0.3481 0.3481 0.3481
0.6519 0.6519 0.6519
0.8486 0.8486 0.8486
0.0605 0.7481 0.4426
0.2519 0.5574 0.9395
0.4426 0.0605 0.7481
0.5574 0.9395 0.2519
0.7481 0.4426 0.0605
0.9395 0.2519 0.5574
```